The following is a calculated X-ray diffraction stick pattern of Ce5Tc2Ru. It was derived from DFT lattice parameters and positions (GGA-PBE), using Cu Kα, 1.54184 Å.
No peak broadening, texture or thermal motion is included.

Top 6 peaks for 10° ≤ 2θ ≤ 90°, sorted by position:
2θ = 17.94°, intensity 68, (1 1 0); 2θ = 24.31°, intensity 80, (0 2 3); 2θ = 29.98°, intensity 49, (0 2 4); 2θ = 33.26°, intensity 100, (2 0 0); 2θ = 34.97°, intensity 74, (0 4 3); 2θ = 49.03°, intensity 57, (2 4 3)

```
data_Ce5Tc2Ru
_chemical_formula_sum 'Ce20 Tc8 Ru4'
_space_group_name_H-M_alt 'C m c m'
_space_group_IT_number 63
_space_group_name_Hall '-C 2c 2'
_cell_length_a 5.3868
_cell_length_b 12.4613
_cell_length_c 13.5760
_cell_angle_alpha 90.00
_cell_angle_beta 90.00
_cell_angle_gamma 90.00
loop_
_atom_site_label
_atom_site_fract_x
_atom_site_fract_y
_atom_site_fract_z
Ce1 0.0000 0.0402 0.1208
Ce2 0.0000 0.2693 0.7500
Ce3 0.0000 0.3362 0.0691
Tc1 0.0000 0.1431 0.5688
Ru1 0.0000 0.1972 0.2500
```